# Ac3Tl3InO8
Theoretical powder XRD pattern, copper Kα. Input: a structure optimized by DFT (PBE).
Lines closer than 0.1° are merged.

Peak list (8 most intense, 2θ from 10° to 90°, in order of falling intensity)
d = 3.084 Å, 2θ = 28.96°, intensity 100
d = 2.679 Å, 2θ = 33.45°, intensity 99
d = 3.124 Å, 2θ = 28.57°, intensity 36
d = 1.885 Å, 2θ = 48.27°, intensity 36
d = 1.904 Å, 2θ = 47.78°, intensity 34
d = 1.614 Å, 2θ = 57.06°, intensity 34
d = 5.358 Å, 2θ = 16.54°, intensity 21
d = 1.626 Å, 2θ = 56.62°, intensity 19

Atomic structure:
```
Ac3Tl3InO8
1.0
3.770 2.177 6.248
-3.770 2.177 6.248
0.000 -4.354 6.248
Ac Tl In O
3 3 1 8
direct
0.000 0.500 0.500 Ac
0.500 0.000 0.500 Ac
0.500 0.500 0.000 Ac
0.000 0.000 0.500 Tl
0.000 0.500 0.000 Tl
0.500 0.000 0.000 Tl
0.000 0.000 0.000 In
0.214 0.214 0.757 O
0.214 0.757 0.214 O
0.243 0.786 0.786 O
0.270 0.270 0.270 O
0.730 0.730 0.730 O
0.757 0.214 0.214 O
0.786 0.243 0.786 O
0.786 0.786 0.243 O
```

# Ac4InOs
Theoretical powder XRD pattern, copper Kα. Input: a structure optimized by DFT (PBE).
Lines closer than 0.1° are merged.

Peak list (8 most intense, 2θ from 10° to 90°, in order of falling intensity)
d = 3.184 Å, 2θ = 28.03°, intensity 100
d = 2.923 Å, 2θ = 30.59°, intensity 91
d = 3.285 Å, 2θ = 27.15°, intensity 71
d = 2.225 Å, 2θ = 40.55°, intensity 37
d = 2.730 Å, 2θ = 32.81°, intensity 34
d = 6.839 Å, 2θ = 12.95°, intensity 30
d = 3.318 Å, 2θ = 26.87°, intensity 29
d = 2.522 Å, 2θ = 35.60°, intensity 25

Atomic structure:
```
Ac4InOs
1.0
5.046 -8.231 0.000
5.046 8.231 0.000
-4.884 0.000 5.453
Ac In Os
8 2 2
direct
0.064 0.638 0.872 Ac
0.181 0.276 0.632 Ac
0.276 0.181 0.132 Ac
0.362 0.936 0.628 Ac
0.638 0.064 0.372 Ac
0.724 0.819 0.868 Ac
0.819 0.724 0.368 Ac
0.936 0.362 0.128 Ac
0.387 0.613 0.250 In
0.613 0.387 0.750 In
0.089 0.911 0.250 Os
0.911 0.089 0.750 Os
```

# AcIn2P2Pt7
Theoretical powder XRD pattern, copper Kα. Input: a structure optimized by DFT (PBE).
Lines closer than 0.1° are merged.

Peak list (8 most intense, 2θ from 10° to 90°, in order of falling intensity)
d = 2.025 Å, 2θ = 44.76°, intensity 100
d = 2.904 Å, 2θ = 30.79°, intensity 88
d = 2.563 Å, 2θ = 35.01°, intensity 88
d = 2.474 Å, 2θ = 36.31°, intensity 85
d = 2.571 Å, 2θ = 34.90°, intensity 78
d = 2.676 Å, 2θ = 33.49°, intensity 72
d = 1.255 Å, 2θ = 75.77°, intensity 36
d = 1.607 Å, 2θ = 57.34°, intensity 24

Atomic structure:
```
AcIn2P2Pt7
1.0
2.862 -2.879 0.000
2.862 2.879 0.000
-1.487 0.000 14.521
Ac In P Pt
1 2 2 7
direct
0.000 0.000 0.000 Ac
0.115 0.115 0.410 In
0.885 0.885 0.590 In
0.422 0.422 0.746 P
0.578 0.578 0.254 P
0.055 0.551 0.171 Pt
0.400 0.400 0.589 Pt
0.449 0.945 0.829 Pt
0.500 0.500 0.000 Pt
0.551 0.055 0.171 Pt
0.600 0.600 0.411 Pt
0.945 0.449 0.829 Pt
```

# Ac2InPRh6
Theoretical powder XRD pattern, copper Kα. Input: a structure optimized by DFT (PBE).
Lines closer than 0.1° are merged.

Peak list (8 most intense, 2θ from 10° to 90°, in order of falling intensity)
d = 2.408 Å, 2θ = 37.35°, intensity 100
d = 2.749 Å, 2θ = 32.58°, intensity 42
d = 2.025 Å, 2θ = 44.76°, intensity 26
d = 3.241 Å, 2θ = 27.52°, intensity 24
d = 1.497 Å, 2θ = 61.98°, intensity 20
d = 2.995 Å, 2θ = 29.84°, intensity 18
d = 2.718 Å, 2θ = 32.95°, intensity 15
d = 1.452 Å, 2θ = 64.14°, intensity 13

Atomic structure:
```
Ac2InPRh6
1.0
5.989 0.000 0.000
-2.995 5.187 0.000
0.000 0.000 6.482
Ac In P Rh
2 1 1 6
direct
0.333 0.667 0.300 Ac
0.667 0.333 0.700 Ac
0.000 0.000 0.500 In
0.000 0.000 0.000 P
0.181 0.362 0.806 Rh
0.181 0.819 0.806 Rh
0.362 0.181 0.194 Rh
0.638 0.819 0.806 Rh
0.819 0.181 0.194 Rh
0.819 0.638 0.194 Rh
```

# Ac2InPb4
Theoretical powder XRD pattern, copper Kα. Input: a structure optimized by DFT (PBE).
Lines closer than 0.1° are merged.

Peak list (8 most intense, 2θ from 10° to 90°, in order of falling intensity)
d = 2.868 Å, 2θ = 31.18°, intensity 100
d = 2.548 Å, 2θ = 35.23°, intensity 18
d = 2.461 Å, 2θ = 36.50°, intensity 17
d = 2.447 Å, 2θ = 36.73°, intensity 16
d = 1.526 Å, 2θ = 60.70°, intensity 16
d = 1.488 Å, 2θ = 62.41°, intensity 14
d = 1.482 Å, 2θ = 62.71°, intensity 14
d = 1.434 Å, 2θ = 65.03°, intensity 13

Atomic structure:
```
Ac2InPb4
1.0
0.000 4.923 5.096
4.894 0.000 5.096
4.894 4.923 0.000
Ac In Pb
2 1 4
direct
0.000 0.000 0.500 Ac
0.500 0.500 0.000 Ac
0.000 0.000 0.000 In
0.000 0.500 0.000 Pb
0.000 0.500 0.500 Pb
0.500 0.000 0.000 Pb
0.500 0.000 0.500 Pb
```

# Ac2In3Pb2
Theoretical powder XRD pattern, copper Kα. Input: a structure optimized by DFT (PBE).
Lines closer than 0.1° are merged.

Peak list (8 most intense, 2θ from 10° to 90°, in order of falling intensity)
d = 3.151 Å, 2θ = 28.33°, intensity 100
d = 2.663 Å, 2θ = 33.66°, intensity 84
d = 1.616 Å, 2θ = 56.98°, intensity 28
d = 1.954 Å, 2θ = 46.47°, intensity 28
d = 2.034 Å, 2θ = 44.55°, intensity 27
d = 1.537 Å, 2θ = 60.19°, intensity 18
d = 4.068 Å, 2θ = 21.85°, intensity 17
d = 1.575 Å, 2θ = 58.60°, intensity 14

Atomic structure:
```
Ac2In3Pb2
1.0
-4.982 4.982 4.982
4.982 -4.982 4.982
4.982 4.982 -4.982
Ac In Pb
4 6 4
direct
0.000 0.645 0.500 Ac
0.500 0.000 0.645 Ac
0.645 0.500 0.000 Ac
0.855 0.855 0.855 Ac
0.120 0.870 0.250 In
0.250 0.120 0.870 In
0.380 0.630 0.750 In
0.630 0.750 0.380 In
0.750 0.380 0.630 In
0.870 0.250 0.120 In
0.000 0.164 0.500 Pb
0.164 0.500 0.000 Pb
0.336 0.336 0.336 Pb
0.500 0.000 0.164 Pb
```

# Ac6In5Pb
Theoretical powder XRD pattern, copper Kα. Input: a structure optimized by DFT (PBE).
Lines closer than 0.1° are merged.

Peak list (8 most intense, 2θ from 10° to 90°, in order of falling intensity)
d = 2.914 Å, 2θ = 30.68°, intensity 100
d = 2.897 Å, 2θ = 30.87°, intensity 20
d = 1.680 Å, 2θ = 54.63°, intensity 16
d = 1.676 Å, 2θ = 54.77°, intensity 16
d = 2.052 Å, 2θ = 44.14°, intensity 15
d = 1.299 Å, 2θ = 72.81°, intensity 10
d = 1.458 Å, 2θ = 63.85°, intensity 10
d = 1.099 Å, 2θ = 89.09°, intensity 9

Atomic structure:
```
Ac6In5Pb
1.0
2.897 -8.721 0.000
2.897 8.721 0.000
0.000 0.000 8.286
Ac In Pb
6 5 1
direct
0.000 0.000 0.250 Ac
0.000 0.000 0.750 Ac
0.333 0.667 0.248 Ac
0.333 0.667 0.752 Ac
0.667 0.333 0.248 Ac
0.667 0.333 0.752 Ac
0.166 0.834 0.000 In
0.170 0.830 0.500 In
0.500 0.500 0.000 In
0.830 0.170 0.500 In
0.834 0.166 0.000 In
0.500 0.500 0.500 Pb
```

# Ac2In2Pb3
Theoretical powder XRD pattern, copper Kα. Input: a structure optimized by DFT (PBE).
Lines closer than 0.1° are merged.

Peak list (8 most intense, 2θ from 10° to 90°, in order of falling intensity)
d = 2.991 Å, 2θ = 29.87°, intensity 100
d = 2.752 Å, 2θ = 32.54°, intensity 51
d = 2.524 Å, 2θ = 35.57°, intensity 28
d = 3.146 Å, 2θ = 28.37°, intensity 27
d = 1.496 Å, 2θ = 62.02°, intensity 16
d = 1.856 Å, 2θ = 49.09°, intensity 14
d = 2.578 Å, 2θ = 34.80°, intensity 14
d = 1.655 Å, 2θ = 55.53°, intensity 14

Atomic structure:
```
Ac2In2Pb3
1.0
12.278 0.000 0.000
0.000 5.048 0.000
-1.383 0.000 7.353
Ac In Pb
4 4 6
direct
0.111 0.000 0.302 Ac
0.389 0.500 0.698 Ac
0.611 0.500 0.302 Ac
0.889 0.000 0.698 Ac
0.104 0.500 0.623 In
0.396 0.000 0.377 In
0.604 0.000 0.623 In
0.896 0.500 0.377 In
0.000 0.500 0.000 Pb
0.199 0.000 0.845 Pb
0.301 0.500 0.155 Pb
0.500 0.000 0.000 Pb
0.699 0.500 0.845 Pb
0.801 0.000 0.155 Pb
```